Entry 1:
Calculated powder XRD pattern of BeAlZnFe for λ = 1.5418 Å (Cu Kα), from a GGA-PBE-relaxed structure.
Lines closer than 0.1° are merged.

Structural model:
```
BeAlZnFe
1.0
0.0000 2.8628 2.8628
2.8628 0.0000 2.8628
2.8628 2.8628 0.0000
Be Al Zn Fe
1 1 1 1
Direct
0.0000 0.0000 0.0000
0.7500 0.7500 0.7500
0.2500 0.2500 0.2500
0.5000 0.5000 0.5000
```

Principal peaks in the range 5° ≤ 2θ ≤ 70°, in order of rising 2θ:
2θ (°)  I/Imax
26.97  48
31.24  6
44.77  100
53.05  21
55.60  2
65.17  15

=====

Entry 2:
Calculated powder XRD pattern of Zr6CdPb for λ = 1.5418 Å (Cu Kα), from a GGA-PBE-relaxed structure.
Lines closer than 0.1° are merged.

Structural model:
```
Zr6CdPb
1.0
5.6564 0.0000 0.0000
0.0000 5.6564 0.0000
0.0000 0.0000 5.6564
Zr Cd Pb
6 1 1
Direct
0.0000 0.2528 0.5000
0.0000 0.7472 0.5000
0.2528 0.5000 0.0000
0.5000 0.0000 0.2528
0.5000 0.0000 0.7472
0.7472 0.5000 0.0000
0.5000 0.5000 0.5000
0.0000 0.0000 0.0000
```

Principal peaks in the range 5° ≤ 2θ ≤ 70°, in order of rising 2θ:
2θ (°)  I/Imax
15.67  6
22.23  14
27.31  3
31.64  44
35.49  74
39.00  100
51.06  3
58.87  17
61.32  52
66.07  15

=====

Entry 3:
Calculated powder XRD pattern of NiPdSe for λ = 1.5418 Å (Cu Kα), from a GGA-PBE-relaxed structure.
Lines closer than 0.1° are merged.

Structural model:
```
NiPdSe
1.0
5.8209 0.0000 0.0000
0.0000 5.8209 0.0000
0.0000 0.0000 5.8209
Ni Pd Se
4 4 4
Direct
0.0518 0.4482 0.5518
0.4482 0.5518 0.0518
0.5518 0.0518 0.4482
0.9482 0.9482 0.9482
0.1849 0.8151 0.3151
0.3151 0.1849 0.8151
0.6849 0.6849 0.6849
0.8151 0.3151 0.1849
0.0562 0.5562 0.9438
0.4438 0.4438 0.4438
0.5562 0.9438 0.0562
0.9438 0.0562 0.5562
```

Principal peaks in the range 5° ≤ 2θ ≤ 70°, in order of rising 2θ:
2θ (°)  I/Imax
26.52  85
30.72  9
34.45  58
37.86  100
44.00  85
46.82  22
49.52  98
57.05  13
59.41  54
66.19  24

=====

Entry 4:
Calculated powder XRD pattern of Hf4Zr2In3N3 for λ = 1.5418 Å (Cu Kα), from a GGA-PBE-relaxed structure.
Lines closer than 0.1° are merged.

Structural model:
```
Hf4Zr2In3N3
1.0
4.8901 -2.8236 0.0000
4.8901 2.8236 0.0000
-3.2610 0.0000 14.8675
Hf Zr In N
8 4 6 6
Direct
0.0250 0.1972 0.0831
0.1416 0.3055 0.4169
0.1972 0.0250 0.5831
0.3055 0.1416 0.9169
0.6945 0.8584 0.0831
0.8028 0.9750 0.4169
0.8584 0.6945 0.5831
0.9750 0.8028 0.9169
0.3646 0.5291 0.0862
0.4709 0.6354 0.4138
0.5291 0.3646 0.5862
0.6354 0.4709 0.9138
0.0770 0.9230 0.2500
0.2435 0.4163 0.7491
0.4163 0.2435 0.2491
0.5837 0.7565 0.7509
0.7565 0.5837 0.2509
0.9230 0.0770 0.7500
0.0000 0.5000 0.0000
0.1564 0.6716 0.5000
0.3284 0.8436 0.0000
0.5000 0.0000 0.5000
0.6716 0.1564 0.0000
0.8436 0.3284 0.5000
```

Principal peaks in the range 5° ≤ 2θ ≤ 70°, in order of rising 2θ:
2θ (°)  I/Imax
11.91  4
18.25  3
31.69  21
36.25  21
36.63  100
48.90  16
56.45  20
65.46  18
68.95  20
69.19  15